No. 1
Starting from the PBE geometry in Alexandria, the powder X-ray diffraction pattern of K3H8RhC4Cl2O12 was calculated for Cu Kα (weighted mean of Kα1 and Kα2).
No peak broadening, texture or thermal motion is included.

The 10 most intense peaks (2θ = 10–80°), sorted by position:
hkl, 2theta, Rel. int.
1 1 0, 11.21, 100
0 2 0, 15.04, 28
1 1 -1, 15.65, 30
2 0 -1, 16.64, 46
0 2 1, 21.65, 41
2 2 -1, 22.49, 64
3 1 -2, 30.53, 32
2 2 1, 31.69, 51
2 4 0, 34.81, 35
6 0 -2, 45.93, 27

```
data_K3H8RhC4Cl2O12
_space_group_name_H-M_alt 'C 1 2/m 1'
_space_group_IT_number 12
_cell_length_a 12.0323
_cell_length_b 11.7827
_cell_length_c 6.4771
_cell_angle_alpha 90.00
_cell_angle_beta 117.89
_cell_angle_gamma 90.00
loop_
_space_group_symop_operation_xyz
'x,y,z'
'-x,-y,-z'
'-x,y,-z'
'x,-y,z'
'x+1/2,y+1/2,z'
'-x+1/2,-y+1/2,-z'
'-x+1/2,y+1/2,-z'
'x+1/2,-y+1/2,z'
loop_
_atom_site_label
_atom_site_fract_x
_atom_site_fract_y
_atom_site_fract_z
K1 0.0000 0.0000 0.0000
K2 0.0000 0.2625 0.5000
H1 0.1347 0.2457 0.0845
H2 0.2148 0.1556 0.0367
Rh1 0.0000 0.5000 0.0000
C1 0.2309 0.4342 0.3839
Cl1 0.1283 0.5000 0.8120
O1 0.1254 0.3860 0.2350
O2 0.1308 0.1897 0.9683
O3 0.1739 0.1183 0.4797
```

---

No. 2
Starting from the PBE geometry in Alexandria, the powder X-ray diffraction pattern of La8HC3Cl3 was calculated for Cu Kα (weighted mean of Kα1 and Kα2).
No peak broadening, texture or thermal motion is included.

The 10 most intense peaks (2θ = 10–80°), sorted by position:
hkl, 2theta, Rel. int.
0 0 1, 12.43, 13
0 0 2, 25.02, 27
2 2 0, 27.93, 87
4 0 0, 31.54, 100
4 0 -3, 34.02, 20
0 0 3, 37.92, 13
4 0 1, 39.98, 14
2 2 2, 43.35, 26
6 2 -2, 47.00, 35
4 0 3, 63.03, 13

```
data_La8HC3Cl3
_space_group_name_H-M_alt 'C 1 2/m 1'
_space_group_IT_number 12
_cell_length_a 13.4114
_cell_length_b 7.7225
_cell_length_c 8.4124
_cell_angle_alpha 90.00
_cell_angle_beta 122.20
_cell_angle_gamma 90.00
loop_
_space_group_symop_operation_xyz
'x,y,z'
'-x,-y,-z'
'-x,y,-z'
'x,-y,z'
'x+1/2,y+1/2,z'
'-x+1/2,-y+1/2,-z'
'-x+1/2,y+1/2,-z'
'x+1/2,-y+1/2,z'
loop_
_atom_site_label
_atom_site_fract_x
_atom_site_fract_y
_atom_site_fract_z
La1 0.0206 0.2327 0.2949
La2 0.2339 0.0000 0.7012
La3 0.2461 0.5000 0.7047
H1 0.0000 0.5000 0.5000
C1 0.0000 0.0000 0.5000
C2 0.2500 0.2500 0.5000
Cl1 0.0000 0.5000 0.0000
Cl2 0.2500 0.2500 0.0000
```

---

No. 3
Starting from the PBE geometry in Alexandria, the powder X-ray diffraction pattern of MgPH6CCl3 was calculated for Cu Kα (weighted mean of Kα1 and Kα2).
No peak broadening, texture or thermal motion is included.

The 10 most intense peaks (2θ = 10–80°), sorted by position:
hkl, 2theta, Rel. int.
0 0 2, 11.81, 75
0 1 -1, 12.44, 100
0 1 -3, 20.89, 17
1 0 -4, 27.39, 23
1 0 4, 27.87, 29
2 0 0, 28.10, 77
1 -2 2, 28.33, 38
1 2 -2, 29.11, 36
1 2 2, 29.39, 42
2 2 -2, 38.50, 18

```
data_MgPH6CCl3
_space_group_name_H-M_alt 'P 1'
_space_group_IT_number 1
_cell_length_a 6.3658
_cell_length_b 8.0953
_cell_length_c 14.9923
_cell_angle_alpha 90.11
_cell_angle_beta 91.12
_cell_angle_gamma 92.62
loop_
_space_group_symop_operation_xyz
'x,y,z'
loop_
_atom_site_label
_atom_site_fract_x
_atom_site_fract_y
_atom_site_fract_z
Mg1 0.0000 0.0000 0.0000
Mg2 0.0248 0.4745 0.5065
Mg3 0.4994 0.0013 0.0009
Mg4 0.5290 0.4752 0.5061
P1 0.2276 0.5293 0.8896
P2 0.2466 0.9987 0.3903
P3 0.6326 0.9977 0.7132
P4 0.7526 0.4150 0.2268
H1 0.0433 0.6190 0.8941
H2 0.0682 0.0930 0.4022
H3 0.0958 0.8226 0.2758
H4 0.1078 0.3317 0.7789
H5 0.2303 0.4169 0.9619
H6 0.2362 0.5107 0.7301
H7 0.2382 0.9979 0.2303
H8 0.2535 0.8798 0.4594
H9 0.3772 0.8283 0.2753
H10 0.3887 0.3579 0.7843
H11 0.4034 0.6406 0.8999
H12 0.4277 0.1049 0.3999
H13 0.4883 0.0883 0.6623
H14 0.5274 0.8499 0.7386
H15 0.5786 0.4497 0.2796
H16 0.5968 0.4816 0.0869
H17 0.6866 0.0884 0.7919
H18 0.7446 0.6565 0.1340
H19 0.7506 0.2425 0.2108
H20 0.8111 0.8778 0.5918
H21 0.8777 0.4908 0.0830
H22 0.9321 0.0735 0.6267
H23 0.9376 0.4600 0.2760
H24 0.9703 0.8908 0.6919
C1 0.2388 0.9026 0.2823
C2 0.2407 0.4220 0.7854
C3 0.7422 0.5223 0.1226
C4 0.8590 0.9559 0.6494
Cl1 0.2392 0.7822 0.0572
Cl2 0.2466 0.0085 0.8686
Cl3 0.2641 0.2028 0.0742
Cl4 0.2677 0.2548 0.5623
Cl5 0.2708 0.4804 0.3739
Cl6 0.2935 0.6776 0.5765
Cl7 0.7363 0.7979 0.9239
Cl8 0.7541 0.9827 0.1296
Cl9 0.7610 0.2159 0.9384
Cl10 0.7622 0.2640 0.4301
Cl11 0.7797 0.4535 0.6337
Cl12 0.7877 0.6850 0.4410
```

---

No. 4
Starting from the PBE geometry in Alexandria, the powder X-ray diffraction pattern of MnH12C2N2Cl4 was calculated for Cu Kα (weighted mean of Kα1 and Kα2).
No peak broadening, texture or thermal motion is included.

The 10 most intense peaks (2θ = 10–80°), sorted by position:
hkl, 2theta, Rel. int.
1 1 1, 17.69, 97
1 3 1, 21.82, 38
2 0 0, 24.11, 37
2 4 0, 30.23, 38
0 4 2, 30.51, 27
2 0 2, 34.60, 100
2 2 2, 35.81, 52
1 7 1, 36.25, 39
0 8 0, 36.39, 25
2 8 2, 51.07, 39

```
data_MnH12C2N2Cl4
_space_group_name_H-M_alt 'C m c e'
_space_group_IT_number 64
_space_group_name_Hall '-C 2ac 2'
_cell_length_a 7.3817
_cell_length_b 19.7486
_cell_length_c 7.2829
_cell_angle_alpha 90.00
_cell_angle_beta 90.00
_cell_angle_gamma 90.00
loop_
_atom_site_label
_atom_site_fract_x
_atom_site_fract_y
_atom_site_fract_z
Mn1 0.0000 0.0000 0.0000
H1 0.0000 0.1110 0.3428
H2 0.0000 0.1855 0.7007
H3 0.1122 0.0876 0.5364
H4 0.1214 0.2100 0.4974
C1 0.0000 0.1849 0.5503
N1 0.0000 0.1134 0.4868
Cl1 0.0000 0.1236 0.0524
Cl2 0.2500 0.0169 0.7500
```